[1]
Diffraction record for La2NiPt. The powder diffractogram is computed, not measured: it uses a crystal structure in the Materials Project, relaxed with GGA-PBE and CuKα.

Structure:
Unit cell a=4.460 b=5.878 c=5.878 alpha=39.48 beta=90.00 gamma=90.00
Fractional positions:
1 La 0.000 0.000 0.000
2 La 0.500 0.271 0.271
3 Ni 0.500 0.548 0.548
4 Pt 0.000 0.717 0.717

The 8 most intense peaks (2θ from 10° to 80°), by angle:
two_theta, intensity
16.02, 19
31.23, 100
32.37, 30
33.15, 24
38.29, 21
38.97, 74
40.45, 28
45.70, 20

=====

[2]
Diffraction record for ReNiN2. The powder diffractogram is computed, not measured: it uses a crystal structure in the Materials Project, relaxed with GGA-PBE and CuKα.

Structure:
Unit cell a=2.900 b=2.900 c=11.008 alpha=90.00 beta=90.00 gamma=122.71
Fractional positions:
1 Re 0.140 0.860 0.750
2 Re 0.860 0.140 0.250
3 Ni 0.000 0.000 0.000
4 Ni 0.000 0.000 0.500
5 N 0.463 0.537 0.634
6 N 0.463 0.537 0.866
7 N 0.537 0.463 0.134
8 N 0.537 0.463 0.366

The 8 most intense peaks (2θ from 10° to 80°), by angle:
two_theta, intensity
16.10, 100
32.54, 63
36.22, 57
36.83, 45
37.76, 73
43.26, 41
44.59, 41
49.95, 64

=====

[3]
Diffraction record for KSrLaSeO6. The powder diffractogram is computed, not measured: it uses a crystal structure in the Materials Project, relaxed with GGA-PBE and CuKα.

Structure:
Unit cell a=5.896 b=5.896 c=5.896 alpha=60.00 beta=60.00 gamma=60.00
Fractional positions:
1 K 0.000 0.000 0.000
2 Sr 0.500 0.500 0.500
3 La 0.750 0.750 0.750
4 Se 0.250 0.250 0.250
5 O 0.030 0.030 0.470
6 O 0.030 0.470 0.030
7 O 0.030 0.470 0.470
8 O 0.470 0.030 0.030
9 O 0.470 0.030 0.470
10 O 0.470 0.470 0.030

The 8 most intense peaks (2θ from 10° to 80°), by angle:
two_theta, intensity
18.43, 8
21.31, 19
30.32, 100
35.71, 8
43.41, 34
53.86, 38
63.06, 20
71.57, 18

=====

[4]
Diffraction record for CeP2Rh2. The powder diffractogram is computed, not measured: it uses a crystal structure in the Materials Project, relaxed with GGA-PBE and CuKα.

Structure:
Unit cell a=4.159 b=4.159 c=9.551 alpha=90.00 beta=90.00 gamma=90.00
Fractional positions:
1 Ce 0.250 0.250 0.244
2 Ce 0.750 0.750 0.756
3 P 0.250 0.250 0.639
4 P 0.250 0.750 0.000
5 P 0.750 0.250 0.000
6 P 0.750 0.750 0.361
7 Rh 0.250 0.250 0.886
8 Rh 0.250 0.750 0.500
9 Rh 0.750 0.250 0.500
10 Rh 0.750 0.750 0.114

The 8 most intense peaks (2θ from 10° to 80°), by angle:
two_theta, intensity
31.84, 38
35.51, 85
35.86, 100
43.52, 69
52.75, 24
57.38, 42
63.25, 22
74.90, 23